Computed XRD peak list
Compound: As4C3
Radiation: a wavelength of 1.5418 Å
Structure: DFT lattice parameters and positions (PBE)
Intensities are scaled so that the largest is 100.

Peak list (8 most intense, 2θ = 5–70°, by angle)
19.3 deg, I = 3
33.7 deg, I = 100
39.1 deg, I = 39
43.9 deg, I = 4
48.4 deg, I = 8
56.5 deg, I = 35
60.2 deg, I = 3
67.4 deg, I = 33

Structural model:
Lattice parameters (Å, degrees): 4.608 4.608 4.608 90.00 90.00 90.00
Space group P-43m (No. 215)
Unique sites:
As  0.228  0.228  0.228 (multiplicity 4)
C  0.000  0.500  0.500 (multiplicity 3)

---

Computed XRD peak list
Compound: Ca5As3CO12
Radiation: a wavelength of 1.5418 Å
Structure: DFT lattice parameters and positions (PBE)
Intensities are scaled so that the largest is 100.

Peak list (10 most intense, 2θ = 5–70°, by angle)
10.2 deg, I = 37
21.8 deg, I = 50
25.4 deg, I = 43
30.1 deg, I = 100
30.9 deg, I = 67
31.2 deg, I = 49
32.9 deg, I = 29
39.6 deg, I = 23
44.4 deg, I = 29
47.8 deg, I = 32

Structural model:
Lattice parameters (Å, degrees): 10.0318 10.0318 7.0029 90.00 90.00 120.00
Space group P6_3/m (No. 176)
Unique sites:
Ca  0.0105  0.2634  0.2500 (multiplicity 6)
Ca  0.3333  0.6667  0.5015 (multiplicity 4)
As  0.0277  0.6294  0.2500 (multiplicity 6)
C  0.0000  0.0000  0.2500 (multiplicity 2)
O  0.0931  0.7495  0.0555 (multiplicity 12)
O  0.1326  0.5341  0.2500 (multiplicity 6)
O  0.1666  0.4958  0.7500 (multiplicity 6)